The following is a calculated powder diffractogram of Na2TmCuF6. It was derived from a DFT-relaxed cell (GGA-PBE, Alexandria), using Cu Kα X-rays.
Neutral-atom scattering factors, no anomalous dispersion.

Cell and atoms:
Cell: 5.705 5.509 11.337 Å, 90.00 120.10 90.00°
Fractional coordinates of all 20 atoms:
Na (0.215, 0.000, 0.215)
Na (0.215, 0.500, 0.715)
Na (0.785, 0.000, 0.785)
Na (0.785, 0.500, 0.285)
Tm (0.500, 0.000, 0.000)
Tm (0.500, 0.500, 0.500)
Cu (0.000, 0.000, 0.500)
Cu (0.000, 0.500, 0.000)
F (0.178, 0.213, 0.000)
F (0.178, 0.287, 0.500)
F (0.180, 0.713, 0.346)
F (0.180, 0.787, 0.846)
F (0.487, 0.713, 0.654)
F (0.487, 0.787, 0.154)
F (0.513, 0.213, 0.846)
F (0.513, 0.287, 0.346)
F (0.820, 0.213, 0.154)
F (0.820, 0.287, 0.654)
F (0.822, 0.713, 0.500)
F (0.822, 0.787, 0.000)

Peak list (12 most intense, 5 to 70 degrees two-theta, in order of rising 2θ)
(hkl), 2θ/deg, I/Imax
1 0 0, 17.99, 18
0 0 2, 18.09, 43
0 1 1, 18.47, 33
1 1 -1, 22.43, 46
1 1 1, 28.97, 100
2 0 -2, 31.36, 13
0 0 4, 36.65, 18
0 2 2, 37.43, 16
1 1 -5, 43.40, 17
2 2 -2, 45.79, 22
3 1 -1, 54.36, 19
1 3 -3, 55.84, 21